Structure and calculated XRD peak list of Ho3Ga11 (DFT lattice parameters and positions (PBE); Cu Kα (weighted mean of Kα1 and Kα2)).
No peak broadening, texture or thermal motion is included.

Peak list (6 most intense, 2θ = 5–70°, most intense first)
two_theta  intensity
34.90  100
43.07  26
34.26  25
42.38  22
34.05  20
29.85  16

Crystal structure
Lattice parameters (Å, degrees): 8.399 8.399 8.399 151.04 106.60 80.76
Fractional coordinates of all 14 atoms:
Ho1 0.000 0.000 0.000
Ho2 0.322 0.322 0.000
Ho3 0.678 0.678 0.000
Ga1 0.040 0.664 0.376
Ga2 0.130 0.856 0.274
Ga3 0.286 0.500 0.786
Ga4 0.288 0.664 0.624
Ga5 0.418 0.144 0.274
Ga6 0.500 0.000 0.500
Ga7 0.582 0.856 0.726
Ga8 0.712 0.336 0.376
Ga9 0.714 0.500 0.214
Ga10 0.870 0.144 0.726
Ga11 0.960 0.336 0.624